[1]
Starting from a crystal structure in OQMD, relaxed with GGA-PBE, the powder diffraction line list of SmF3 was simulated for λ = 1.5418 Å (Cu Kα).
Intensities are scaled so that the largest is 100.

Atomic structure:
Cell lengths 6.8301, 6.8301, 6.8641 Å; angles 90.00, 90.00, 120.00 degrees
Space group P6_322 (No. 182)
Inequivalent atoms, fractional coordinates:
Sm 0.0000 0.3257 0.0000 (multiplicity 6)
F 0.0000 0.0000 0.2500 (multiplicity 2)
F 0.0020 0.3447 0.3344 (multiplicity 12)
F 0.3333 0.6667 0.5050 (multiplicity 4)

Principal peaks in the range 2θ = 10–90°, in order of rising 2θ:
| Position (°2θ) | d_spacing | Rel. int. | (hkl) |
| --- | --- | --- | --- |
| 25.96 | 3.432 | 34 | 0 0 2 |
| 26.09 | 3.415 | 30 | 1 1 0 |
| 29.21 | 3.058 | 100 | 1 1 1 |
| 37.14 | 2.421 | 15 | 1 1 2 |
| 46.03 | 1.972 | 48 | 3 0 0 |
| 47.85 | 1.901 | 53 | 1 1 3 |
| 53.62 | 1.709 | 32 | 3 0 2 |
| 55.45 | 1.657 | 17 | 2 2 1 |
| 68.58 | 1.368 | 17 | 2 2 3 |
| 73.11 | 1.294 | 13 | 3 0 4 |
| 74.85 | 1.269 | 15 | 4 1 1 |
| 86.59 | 1.124 | 17 | 4 1 3 |



[2]
Starting from a crystal structure in OQMD, relaxed with GGA-PBE, the powder diffraction line list of Sr5Zr3F22 was simulated for λ = 1.5418 Å (Cu Kα).
Intensities are scaled so that the largest is 100.

Atomic structure:
Cell lengths 7.568, 10.177, 10.096 Å; angles 90.00, 90.00, 90.00 degrees
Space group P2_12_12 (No. 18)
Inequivalent atoms, fractional coordinates:
Sr 0.000 0.000 0.027 (multiplicity 2)
Sr 0.000 0.000 0.461 (multiplicity 2)
Sr 0.000 0.500 0.940 (multiplicity 2)
Sr 0.236 0.703 0.253 (multiplicity 4)
Zr 0.000 0.500 0.540 (multiplicity 2)
Zr 0.245 0.786 0.778 (multiplicity 4)
F 0.008 0.798 0.881 (multiplicity 4)
F 0.025 0.343 0.122 (multiplicity 4)
F 0.061 0.151 0.285 (multiplicity 4)
F 0.061 0.845 0.634 (multiplicity 4)
F 0.087 0.388 0.370 (multiplicity 4)
F 0.091 0.608 0.713 (multiplicity 4)
F 0.215 0.984 0.833 (multiplicity 4)
F 0.216 0.389 0.601 (multiplicity 4)
F 0.216 0.613 0.478 (multiplicity 4)
F 0.239 0.887 0.116 (multiplicity 4)
F 0.243 0.154 0.064 (multiplicity 4)

Principal peaks in the range 2θ = 10–90°, in order of rising 2θ:
| Position (°2θ) | d_spacing | Rel. int. | (hkl) |
| --- | --- | --- | --- |
| 24.85 | 3.584 | 86 | 0 2 2 |
| 26.64 | 3.346 | 10 | 2 1 1 |
| 27.74 | 3.216 | 18 | 0 3 1 |
| 27.92 | 3.195 | 16 | 0 1 3 |
| 29.46 | 3.032 | 100 | 2 2 0 |
| 44.87 | 2.020 | 40 | 2 3 3 |
| 46.63 | 1.948 | 31 | 2 4 2 |
| 46.80 | 1.941 | 23 | 2 2 4 |
| 48.09 | 1.892 | 15 | 4 0 0 |
| 51.80 | 1.765 | 13 | 2 5 1 |
| 52.11 | 1.755 | 14 | 2 1 5 |
| 54.87 | 1.673 | 19 | 4 2 2 |



[3]
Starting from a crystal structure in OQMD, relaxed with GGA-PBE, the powder diffraction line list of TaF5 was simulated for λ = 1.5418 Å (Cu Kα).
Intensities are scaled so that the largest is 100.

Atomic structure:
Cell lengths 8.993, 13.608, 4.630 Å; angles 90.00, 99.66, 90.00 degrees
Space group C2/m (No. 12)
Inequivalent atoms, fractional coordinates:
Ta 0.000 0.212 0.000 (multiplicity 4)
Ta 0.230 0.500 0.269 (multiplicity 4)
F 0.118 0.395 0.367 (multiplicity 8)
F 0.122 0.192 0.367 (multiplicity 8)
F 0.124 0.000 0.390 (multiplicity 4)
F 0.125 0.097 0.878 (multiplicity 8)
F 0.130 0.300 0.865 (multiplicity 8)
F 0.136 0.500 0.871 (multiplicity 4)

Principal peaks in the range 2θ = 10–90°, in order of rising 2θ:
| Position (°2θ) | d_spacing | Rel. int. | (hkl) |
| --- | --- | --- | --- |
| 19.45 | 4.565 | 18 | 0 0 1 |
| 21.37 | 4.158 | 20 | 1 1 -1 |
| 22.01 | 4.038 | 21 | 1 3 0 |
| 23.47 | 3.791 | 31 | 0 2 1 |
| 23.96 | 3.714 | 100 | 2 2 0 |
| 24.28 | 3.666 | 42 | 1 1 1 |
| 25.56 | 3.486 | 21 | 2 0 -1 |
| 26.19 | 3.402 | 27 | 0 4 0 |
| 28.37 | 3.146 | 52 | 1 3 -1 |
| 41.74 | 2.164 | 22 | 0 2 2 |
| 47.47 | 1.915 | 37 | 3 5 -1 |
| 47.79 | 1.903 | 21 | 2 0 2 |



[4]
Starting from a crystal structure in OQMD, relaxed with GGA-PBE, the powder diffraction line list of TbF4 was simulated for λ = 1.5418 Å (Cu Kα).
Intensities are scaled so that the largest is 100.

Atomic structure:
Cell lengths 4.463, 5.983, 8.618 Å; angles 90.00, 90.00, 90.00 degrees
Space group P2_12_12_1 (No. 19)
Inequivalent atoms, fractional coordinates:
Tb 0.073 0.018 0.071 (multiplicity 4)
F 0.086 0.351 0.940 (multiplicity 4)
F 0.182 0.309 0.246 (multiplicity 4)
F 0.202 0.299 0.577 (multiplicity 4)
F 0.236 0.005 0.819 (multiplicity 4)

Principal peaks in the range 2θ = 10–90°, in order of rising 2θ:
| Position (°2θ) | d_spacing | Rel. int. | (hkl) |
| --- | --- | --- | --- |
| 20.61 | 4.309 | 28 | 0 0 2 |
| 22.43 | 3.963 | 19 | 1 0 1 |
| 24.89 | 3.577 | 22 | 1 1 0 |
| 25.48 | 3.496 | 48 | 0 1 2 |
| 26.99 | 3.304 | 100 | 1 1 1 |
| 29.87 | 2.991 | 25 | 0 2 0 |
| 37.22 | 2.415 | 18 | 1 0 3 |
| 44.71 | 2.027 | 28 | 0 1 4 |
| 48.42 | 1.880 | 45 | 1 2 3 |
| 51.28 | 1.781 | 21 | 1 3 1 |
| 52.24 | 1.751 | 16 | 2 2 1 |
| 54.27 | 1.690 | 19 | 2 1 3 |



[5]
Starting from a crystal structure in OQMD, relaxed with GGA-PBE, the powder diffraction line list of TbF was simulated for λ = 1.5418 Å (Cu Kα).
Intensities are scaled so that the largest is 100.

Atomic structure:
Cell lengths 5.465, 5.465, 5.465 Å; angles 90.00, 90.00, 90.00 degrees
Space group F-43m (No. 216)
Inequivalent atoms, fractional coordinates:
Tb 0.000 0.000 0.000 (multiplicity 4)
F 0.250 0.250 0.250 (multiplicity 4)

Principal peaks in the range 2θ = 10–90°, in order of rising 2θ:
| Position (°2θ) | d_spacing | Rel. int. | (hkl) |
| --- | --- | --- | --- |
| 28.28 | 3.155 | 100 | 1 1 1 |
| 32.77 | 2.733 | 38 | 2 0 0 |
| 47.03 | 1.932 | 46 | 2 2 0 |
| 55.79 | 1.648 | 45 | 3 1 1 |
| 58.50 | 1.578 | 10 | 2 2 2 |
| 68.70 | 1.366 | 7 | 4 0 0 |
| 75.88 | 1.254 | 18 | 3 3 1 |
| 78.22 | 1.222 | 14 | 4 2 0 |
| 87.42 | 1.116 | 15 | 4 2 2 |



[6]
Starting from a crystal structure in OQMD, relaxed with GGA-PBE, the powder diffraction line list of TcF4 was simulated for λ = 1.5418 Å (Cu Kα).
Intensities are scaled so that the largest is 100.

Atomic structure:
Cell lengths 5.171, 8.747, 10.740 Å; angles 90.00, 90.00, 90.00 degrees
Space group Pbca (No. 61)
Inequivalent atoms, fractional coordinates:
Tc 0.095 0.128 0.166 (multiplicity 8)
F 0.070 0.741 0.944 (multiplicity 8)
F 0.081 0.750 0.190 (multiplicity 8)
F 0.227 0.505 0.308 (multiplicity 8)
F 0.250 0.004 0.554 (multiplicity 8)

Principal peaks in the range 2θ = 10–90°, in order of rising 2θ:
| Position (°2θ) | d_spacing | Rel. int. | (hkl) |
| --- | --- | --- | --- |
| 16.51 | 5.370 | 30 | 0 0 2 |
| 21.61 | 4.112 | 23 | 1 1 1 |
| 21.94 | 4.050 | 100 | 0 2 1 |
| 23.89 | 3.725 | 26 | 1 0 2 |
| 26.00 | 3.427 | 47 | 1 1 2 |
| 32.08 | 2.790 | 37 | 1 1 3 |
| 36.81 | 2.442 | 21 | 1 2 3 |
| 37.22 | 2.416 | 17 | 2 1 1 |
| 43.70 | 2.071 | 16 | 1 3 3 |
| 46.97 | 1.934 | 17 | 2 3 0 |
| 49.39 | 1.845 | 18 | 1 3 4 |
| 64.20 | 1.451 | 20 | 3 0 4 |



[7]
Starting from a crystal structure in OQMD, relaxed with GGA-PBE, the powder diffraction line list of TcF4 was simulated for λ = 1.5418 Å (Cu Kα).
Intensities are scaled so that the largest is 100.

Atomic structure:
Cell lengths 9.016, 9.413, 5.359 Å; angles 90.00, 90.00, 90.00 degrees
Space group Fdd2 (No. 43)
Inequivalent atoms, fractional coordinates:
Tc 0.000 0.000 0.000 (multiplicity 8)
F 0.120 0.332 0.021 (multiplicity 16)
F 0.123 0.328 0.528 (multiplicity 16)

Principal peaks in the range 2θ = 10–90°, in order of rising 2θ:
| Position (°2θ) | d_spacing | Rel. int. | (hkl) |
| --- | --- | --- | --- |
| 21.48 | 4.138 | 100 | 1 1 1 |
| 27.40 | 3.256 | 54 | 2 2 0 |
| 34.59 | 2.593 | 31 | 1 3 1 |
| 35.55 | 2.525 | 28 | 3 1 1 |
| 39.11 | 2.303 | 23 | 2 0 2 |
| 43.75 | 2.069 | 12 | 2 2 2 |
| 45.07 | 2.012 | 15 | 3 3 1 |
| 55.85 | 1.646 | 14 | 2 4 2 |
| 56.54 | 1.628 | 12 | 4 4 0 |
| 56.85 | 1.620 | 26 | 4 2 2 |
| 60.53 | 1.530 | 12 | 1 3 3 |
| 69.42 | 1.354 | 10 | 0 6 2 |



[8]
Starting from a crystal structure in OQMD, relaxed with GGA-PBE, the powder diffraction line list of TlZnTeF was simulated for λ = 1.5418 Å (Cu Kα).
Intensities are scaled so that the largest is 100.

Atomic structure:
Cell lengths 4.344, 4.344, 9.911 Å; angles 90.00, 90.00, 90.00 degrees
Space group P4/nmm (No. 129, origin choice 2)
Inequivalent atoms, fractional coordinates:
Tl 0.250 0.250 0.134 (multiplicity 2)
Zn 0.250 0.750 0.500 (multiplicity 2)
Te 0.250 0.250 0.665 (multiplicity 2)
F 0.250 0.750 0.000 (multiplicity 2)

Principal peaks in the range 2θ = 10–90°, in order of rising 2θ:
| Position (°2θ) | d_spacing | Rel. int. | (hkl) |
| --- | --- | --- | --- |
| 27.30 | 3.267 | 100 | 1 0 2 |
| 29.07 | 3.072 | 24 | 1 1 0 |
| 30.46 | 2.934 | 12 | 1 1 1 |
| 34.35 | 2.611 | 18 | 1 1 2 |
| 41.58 | 2.172 | 30 | 2 0 0 |
| 41.98 | 2.152 | 7 | 1 0 4 |
| 47.12 | 1.929 | 30 | 1 1 4 |
| 50.45 | 1.809 | 37 | 2 1 2 |
| 60.25 | 1.536 | 10 | 2 2 0 |
| 67.37 | 1.390 | 8 | 3 0 2 |
| 79.83 | 1.201 | 12 | 3 1 4 |
| 82.36 | 1.171 | 9 | 3 2 2 |